Entry 1:
Starting from a crystal structure in Alexandria, relaxed with PBE, the X-ray powder pattern of Ca2SnHg6 was computed for Cu Kα (λ = 1.5418 Å).
Peak positions follow from Bragg's law for the DFT cell and can differ from measured ones.

Atomic structure:
abc: 8.5035 8.8793 6.1546
angles: 90.00 93.79 90.00
Space group C2/m (No. 12)
Symmetry-distinct sites (fractional):
Ca 0.1788 0.0000 0.1777 x4
Sn 0.0000 0.5000 0.5000 x2
Hg 0.0000 0.3309 0.0000 x4
Hg 0.1652 0.1659 0.6688 x8

Most intense lines, 2θ from 10° to 90°, sorted by position:
(hkl)	Position (°2θ)	d_spacing	Rel. int.
0 2 0	20.0	4.445	299
2 0 1	26.3	3.388	342
2 2 1	33.3	2.694	747
2 0 -2	35.0	2.566	1000
3 3 0	44.3	2.046	530
0 2 3	49.0	1.858	253
1 1 -4	61.6	1.506	168
3 3 -3	62.7	1.483	125
5 3 1	66.1	1.414	317
1 3 5	87.4	1.116	105

=====

Entry 2:
Starting from a crystal structure in Alexandria, relaxed with PBE, the X-ray powder pattern of Cs3Ce3BiS8 was computed for Cu Kα (λ = 1.5418 Å).
Peak positions follow from Bragg's law for the DFT cell and can differ from measured ones.

Atomic structure:
abc: 8.3980 8.3980 24.4280
angles: 90.00 90.00 120.00
Space group R-3m (No. 166, hexagonal axes)
Symmetry-distinct sites (fractional):
Cs 0.0000 0.5000 0.0000 x9
Ce 0.0000 0.5000 0.5000 x9
Bi 0.0000 0.0000 0.5000 x3
S 0.0000 0.0000 0.2274 x6
S 0.0038 0.5019 0.7732 x18

Most intense lines, 2θ from 10° to 90°, sorted by position:
(hkl)	Position (°2θ)	d_spacing	Rel. int.
0 0 3	10.9	8.143	252
1 0 1	12.7	6.971	154
0 0 6	21.8	4.069	338
2 0 2	25.6	3.485	478
0 2 4	28.6	3.124	1000
2 0 8	38.5	2.338	364
2 2 0	43.1	2.100	340
0 2 10	44.7	2.028	184
2 2 6	48.8	1.866	227
4 0 4	52.5	1.743	176